Record 1
For Er4Ir, a structure optimized by DFT (PBE) gives the calculated X-ray powder pattern in this record (Cu Kα (weighted mean of Kα1 and Kα2)).

Largest 6 diffraction maxima, in order of rising 2θ, 2θ from 15° to 90°:
| two_theta | intensity |
| --- | --- |
| 23.40 | 26.8 |
| 28.76 | 100.0 |
| 36.42 | 28.4 |
| 43.75 | 25.7 |
| 47.86 | 56.4 |
| 56.80 | 35.4 |

Cell: 7.6028 7.6028 7.6028 Å, 60.00 60.00 60.00°
Element x y z (fractional)
Er  0.2095  0.7635  0.7635
Er  0.2365  0.2365  0.2365
Er  0.2365  0.2365  0.7905
Er  0.2365  0.7905  0.2365
Er  0.7635  0.2095  0.7635
Er  0.7635  0.7635  0.2095
Er  0.7635  0.7635  0.7635
Er  0.7905  0.2365  0.2365
Ir  0.3750  0.3750  0.3750
Ir  0.6250  0.6250  0.6250

Record 2
For Er5Ir3, a structure optimized by DFT (PBE) gives the calculated X-ray powder pattern in this record (Cu Kα (weighted mean of Kα1 and Kα2)).

Largest 6 diffraction maxima, in order of rising 2θ, 2θ from 15° to 90°:
| two_theta | intensity |
| --- | --- |
| 29.01 | 26.9 |
| 36.24 | 94.5 |
| 36.38 | 100.0 |
| 37.66 | 67.9 |
| 48.11 | 23.7 |
| 56.25 | 27.0 |

Cell: 8.2736 8.2736 6.1554 Å, 90.00 90.00 120.00°
Element x y z (fractional)
Er  0.0000  0.2618  0.2500
Er  0.0000  0.7382  0.7500
Er  0.2618  0.0000  0.2500
Er  0.2618  0.2618  0.7500
Er  0.3333  0.6667  0.0000
Er  0.3333  0.6667  0.5000
Er  0.6667  0.3333  0.0000
Er  0.6667  0.3333  0.5000
Er  0.7382  0.0000  0.7500
Er  0.7382  0.7382  0.2500
Ir  0.0000  0.3889  0.7500
Ir  0.0000  0.6111  0.2500
Ir  0.3889  0.0000  0.7500
Ir  0.3889  0.3889  0.2500
Ir  0.6111  0.0000  0.2500
Ir  0.6111  0.6111  0.7500

Record 3
For Er2NiIr, a structure optimized by DFT (PBE) gives the calculated X-ray powder pattern in this record (Cu Kα (weighted mean of Kα1 and Kα2)).

Largest 6 diffraction maxima, in order of rising 2θ, 2θ from 15° to 90°:
| two_theta | intensity |
| --- | --- |
| 22.87 | 10.5 |
| 37.78 | 100.0 |
| 44.62 | 5.7 |
| 54.50 | 17.4 |
| 68.22 | 35.3 |
| 80.71 | 11.1 |

Cell: 6.7351 6.7351 6.7351 Å, 90.00 90.00 90.00°
Element x y z (fractional)
Er  0.2500  0.2500  0.2500
Er  0.2500  0.2500  0.7500
Er  0.2500  0.7500  0.2500
Er  0.2500  0.7500  0.7500
Er  0.7500  0.2500  0.2500
Er  0.7500  0.2500  0.7500
Er  0.7500  0.7500  0.2500
Er  0.7500  0.7500  0.7500
Ni  0.0000  0.0000  0.0000
Ni  0.0000  0.5000  0.5000
Ni  0.5000  0.0000  0.5000
Ni  0.5000  0.5000  0.0000
Ir  0.0000  0.0000  0.5000
Ir  0.0000  0.5000  0.0000
Ir  0.5000  0.0000  0.0000
Ir  0.5000  0.5000  0.5000

Record 4
For ErIrO3, a structure optimized by DFT (PBE) gives the calculated X-ray powder pattern in this record (Cu Kα (weighted mean of Kα1 and Kα2)).

Largest 6 diffraction maxima, in order of rising 2θ, 2θ from 15° to 90°:
| two_theta | intensity |
| --- | --- |
| 31.94 | 100.0 |
| 45.79 | 26.2 |
| 56.92 | 40.3 |
| 66.77 | 16.5 |
| 75.93 | 17.6 |
| 84.74 | 5.7 |

Cell: 3.9628 3.9628 3.9628 Å, 90.00 90.00 90.00°
Element x y z (fractional)
Er  0.0000  0.0000  0.0000
Ir  0.5000  0.5000  0.5000
O  0.0000  0.5000  0.5000
O  0.5000  0.0000  0.5000
O  0.5000  0.5000  0.0000

Record 5
For Er5P12Ir19, a structure optimized by DFT (PBE) gives the calculated X-ray powder pattern in this record (Cu Kα (weighted mean of Kα1 and Kα2)).

Largest 6 diffraction maxima, in order of rising 2θ, 2θ from 15° to 90°:
| two_theta | intensity |
| --- | --- |
| 28.07 | 20.3 |
| 36.22 | 100.0 |
| 37.16 | 15.6 |
| 45.77 | 19.4 |
| 49.67 | 15.2 |
| 69.85 | 12.5 |

Cell: 12.7159 12.7159 3.9647 Å, 90.00 90.00 120.00°
Element x y z (fractional)
Er  0.0000  0.1848  0.0000
Er  0.1848  0.0000  0.0000
Er  0.3333  0.6667  0.5000
Er  0.6667  0.3333  0.5000
Er  0.8152  0.8152  0.0000
P  0.0000  0.3584  0.5000
P  0.0000  0.8226  0.5000
P  0.1710  0.6882  0.0000
P  0.1774  0.1774  0.5000
P  0.3118  0.4828  0.0000
P  0.3584  0.0000  0.5000
P  0.4828  0.3118  0.0000
P  0.5172  0.8290  0.0000
P  0.6416  0.6416  0.5000
P  0.6882  0.1710  0.0000
P  0.8226  0.0000  0.5000
P  0.8290  0.5172  0.0000
Ir  0.0000  0.0000  0.5000
Ir  0.0000  0.5386  0.5000
Ir  0.0000  0.7164  0.0000
Ir  0.1332  0.4940  0.0000
Ir  0.1812  0.8067  0.5000
Ir  0.1933  0.3745  0.5000
Ir  0.2836  0.2836  0.0000
Ir  0.3608  0.8668  0.0000
Ir  0.3745  0.1933  0.5000
Ir  0.4614  0.4614  0.5000
Ir  0.4940  0.1332  0.0000
Ir  0.5060  0.6392  0.0000
Ir  0.5386  0.0000  0.5000
Ir  0.6255  0.8188  0.5000
Ir  0.6392  0.5060  0.0000
Ir  0.7164  0.0000  0.0000
Ir  0.8067  0.1812  0.5000
Ir  0.8188  0.6255  0.5000
Ir  0.8668  0.3608  0.0000

Record 6
For ErSbIr, a structure optimized by DFT (PBE) gives the calculated X-ray powder pattern in this record (Cu Kα (weighted mean of Kα1 and Kα2)).

Largest 6 diffraction maxima, in order of rising 2θ, 2θ from 15° to 90°:
| two_theta | intensity |
| --- | --- |
| 32.56 | 58.9 |
| 33.70 | 30.8 |
| 34.05 | 100.0 |
| 39.37 | 59.7 |
| 39.56 | 29.0 |
| 40.27 | 45.3 |

Cell: 7.1297 4.4790 7.9861 Å, 90.00 90.00 90.00°
Element x y z (fractional)
Er  0.0129  0.2500  0.1887
Er  0.4871  0.7500  0.6886
Er  0.5129  0.2500  0.3114
Er  0.9871  0.7500  0.8114
Sb  0.1742  0.2500  0.5869
Sb  0.3258  0.7500  0.0869
Sb  0.6742  0.2500  0.9131
Sb  0.8258  0.7500  0.4131
Ir  0.2139  0.7500  0.4077
Ir  0.2861  0.2500  0.9077
Ir  0.7139  0.7500  0.0923
Ir  0.7861  0.2500  0.5923

Record 7
For Er5Si10Ir4, a structure optimized by DFT (PBE) gives the calculated X-ray powder pattern in this record (Cu Kα (weighted mean of Kα1 and Kα2)).

Largest 6 diffraction maxima, in order of rising 2θ, 2θ from 15° to 90°:
| two_theta | intensity |
| --- | --- |
| 29.03 | 34.0 |
| 35.45 | 100.0 |
| 36.18 | 34.5 |
| 36.90 | 31.0 |
| 40.44 | 25.0 |
| 42.58 | 33.1 |

Cell: 12.6171 12.6171 4.2460 Å, 90.00 90.00 90.00°
Element x y z (fractional)
Er  0.0000  0.0000  0.0000
Er  0.1159  0.3841  0.5000
Er  0.1751  0.6751  0.5000
Er  0.3249  0.1751  0.5000
Er  0.3841  0.8841  0.5000
Er  0.5000  0.5000  0.0000
Er  0.6159  0.1159  0.5000
Er  0.6751  0.8249  0.5000
Er  0.8249  0.3249  0.5000
Er  0.8841  0.6159  0.5000
Si  0.0038  0.8439  0.5000
Si  0.0655  0.5655  0.0000
Si  0.1561  0.0038  0.5000
Si  0.1640  0.2005  0.0000
Si  0.2005  0.8360  0.0000
Si  0.2995  0.3360  0.0000
Si  0.3360  0.7005  0.0000
Si  0.3439  0.5038  0.5000
Si  0.4345  0.0655  0.0000
Si  0.4962  0.3439  0.5000
Si  0.5038  0.6561  0.5000
Si  0.5655  0.9345  0.0000
Si  0.6561  0.4962  0.5000
Si  0.6640  0.2995  0.0000
Si  0.7005  0.6640  0.0000
Si  0.7995  0.1640  0.0000
Si  0.8360  0.7995  0.0000
Si  0.8439  0.9962  0.5000
Si  0.9345  0.4345  0.0000
Si  0.9962  0.1561  0.5000
Ir  0.0205  0.7541  0.0000
Ir  0.2459  0.0205  0.0000
Ir  0.2541  0.5205  0.0000
Ir  0.4795  0.2541  0.0000
Ir  0.5205  0.7459  0.0000
Ir  0.7459  0.4795  0.0000
Ir  0.7541  0.9795  0.0000
Ir  0.9795  0.2459  0.0000

Record 8
For ErSi2Ir2, a structure optimized by DFT (PBE) gives the calculated X-ray powder pattern in this record (Cu Kα (weighted mean of Kα1 and Kα2)).

Largest 6 diffraction maxima, in order of rising 2θ, 2θ from 15° to 90°:
| two_theta | intensity |
| --- | --- |
| 17.87 | 20.4 |
| 36.03 | 100.0 |
| 36.20 | 19.6 |
| 44.45 | 33.6 |
| 58.61 | 19.9 |
| 76.32 | 23.1 |

Cell: 4.0765 4.0765 9.9261 Å, 90.00 90.00 90.00°
Element x y z (fractional)
Er  0.0000  0.0000  0.0000
Er  0.5000  0.5000  0.5000
Si  0.0000  0.0000  0.3793
Si  0.0000  0.0000  0.6207
Si  0.5000  0.5000  0.1207
Si  0.5000  0.5000  0.8793
Ir  0.0000  0.5000  0.2500
Ir  0.0000  0.5000  0.7500
Ir  0.5000  0.0000  0.2500
Ir  0.5000  0.0000  0.7500

Record 9
For TbErIr2, a structure optimized by DFT (PBE) gives the calculated X-ray powder pattern in this record (Cu Kα (weighted mean of Kα1 and Kα2)).

Largest 5 diffraction maxima, in order of rising 2θ, 2θ from 15° to 90°:
| two_theta | intensity |
| --- | --- |
| 26.03 | 0.7 |
| 37.15 | 100.0 |
| 53.55 | 17.7 |
| 66.97 | 36.2 |
| 79.14 | 11.4 |

Cell: 6.8457 6.8457 6.8457 Å, 90.00 90.00 90.00°
Element x y z (fractional)
Tb  0.0000  0.0000  0.0000
Tb  0.0000  0.5000  0.5000
Tb  0.5000  0.0000  0.5000
Tb  0.5000  0.5000  0.0000
Er  0.0000  0.0000  0.5000
Er  0.0000  0.5000  0.0000
Er  0.5000  0.0000  0.0000
Er  0.5000  0.5000  0.5000
Ir  0.2500  0.2500  0.2500
Ir  0.2500  0.2500  0.7500
Ir  0.2500  0.7500  0.2500
Ir  0.2500  0.7500  0.7500
Ir  0.7500  0.2500  0.2500
Ir  0.7500  0.2500  0.7500
Ir  0.7500  0.7500  0.2500
Ir  0.7500  0.7500  0.7500

Record 10
For Er7Te2Ir2, a structure optimized by DFT (PBE) gives the calculated X-ray powder pattern in this record (Cu Kα (weighted mean of Kα1 and Kα2)).

Largest 6 diffraction maxima, in order of rising 2θ, 2θ from 15° to 90°:
| two_theta | intensity |
| --- | --- |
| 30.14 | 54.0 |
| 33.26 | 43.5 |
| 33.72 | 100.0 |
| 34.35 | 47.1 |
| 38.45 | 26.5 |
| 46.28 | 26.3 |

Cell: 9.3449 9.3449 9.3449 Å, 155.77 66.29 119.36°
Element x y z (fractional)
Er  0.0000  0.0000  0.0000
Er  0.0597  0.3751  0.6846
Er  0.0860  0.7322  0.3538
Er  0.3784  0.7322  0.6462
Er  0.4527  0.5846  0.8681
Er  0.6906  0.3751  0.3154
Er  0.7166  0.5846  0.1319
Te  0.3378  0.3378  0.0000
Te  0.7361  0.2361  0.5000
Ir  0.3114  0.0735  0.2378
Ir  0.8357  0.0735  0.7622

Record 11
For YErIr2, a structure optimized by DFT (PBE) gives the calculated X-ray powder pattern in this record (Cu Kα (weighted mean of Kα1 and Kα2)).

Largest 6 diffraction maxima, in order of rising 2θ, 2θ from 15° to 90°:
| two_theta | intensity |
| --- | --- |
| 22.50 | 3.2 |
| 26.04 | 4.5 |
| 37.16 | 100.0 |
| 53.57 | 17.6 |
| 66.99 | 35.9 |
| 79.17 | 11.3 |

Cell: 6.8434 6.8434 6.8434 Å, 90.00 90.00 90.00°
Element x y z (fractional)
Y  0.0000  0.0000  0.0000
Y  0.0000  0.5000  0.5000
Y  0.5000  0.0000  0.5000
Y  0.5000  0.5000  0.0000
Er  0.0000  0.0000  0.5000
Er  0.0000  0.5000  0.0000
Er  0.5000  0.0000  0.0000
Er  0.5000  0.5000  0.5000
Ir  0.2500  0.2500  0.2500
Ir  0.2500  0.2500  0.7500
Ir  0.2500  0.7500  0.2500
Ir  0.2500  0.7500  0.7500
Ir  0.7500  0.2500  0.2500
Ir  0.7500  0.2500  0.7500
Ir  0.7500  0.7500  0.2500
Ir  0.7500  0.7500  0.7500

> What is the formula in the second record?

Er5Ir3